For Sn4BiTe6, a DFT-relaxed cell (PBE, Alexandria) gives the calculated powder XRD pattern in this record (CuKα).
No peak broadening, texture or thermal motion is included.

Structure:
abc: 6.331 6.370 9.920
angles: 89.42 71.43 88.40
Space group P1 (No. 1)
Inequivalent atoms, fractional coordinates:
Sn1 0.000 0.000 0.000 [1 per cell]
Sn2 0.167 0.483 0.655 [1 per cell]
Sn3 0.506 0.482 0.978 [1 per cell]
Sn4 0.683 0.001 0.634 [1 per cell]
Bi1 0.360 0.010 0.317 [1 per cell]
Te1 0.160 0.971 0.653 [1 per cell]
Te2 0.298 0.468 0.316 [1 per cell]
Te3 0.496 0.970 0.980 [1 per cell]
Te4 0.658 0.475 0.648 [1 per cell]
Te5 0.832 0.903 0.317 [1 per cell]
Te6 0.990 0.475 0.984 [1 per cell]

The 8 most intense peaks (10 to 80 degrees two-theta), by angle:
| Position (°2θ) | I/Imax | h k l |
| --- | --- | --- |
| 28.03 | 94 | 0 2 0 |
| 28.20 | 100 | 2 0 1 |
| 28.47 | 100 | 0 0 3 |
| 40.38 | 70 | 0 2 3 |
| 40.51 | 75 | 2 0 -2 |
| 40.76 | 36 | 2 -2 1 |
| 49.49 | 36 | 2 2 -2 |
| 50.47 | 38 | 2 -2 4 |